Pm2MnMoO6: simulated powder XRD pattern (Cu Kα (weighted mean of Kα1 and Kα2)), based on a cell relaxed with GGA+U.

The 8 most intense peaks (15° ≤ 2θ ≤ 90°), sorted by position:
- (0 0 1), 17.52°, 5.063 Å, I 19
- (1 1 1), 29.35°, 3.043 Å, I 100
- (2 0 0), 33.28°, 2.692 Å, I 35
- (1 1 2), 42.90°, 2.108 Å, I 14
- (2 2 0), 47.78°, 1.904 Å, I 21
- (2 0 2), 49.42°, 1.844 Å, I 26
- (3 1 1), 57.07°, 1.614 Å, I 30
- (1 1 3), 59.96°, 1.543 Å, I 11

Structure:
Unit cell a=5.384 b=5.384 c=5.063 alpha=90.00 beta=90.00 gamma=90.00
Fractional positions:
1 Pm 0.000 0.500 0.000
2 Pm 0.500 0.000 0.000
3 Mn 0.000 0.000 0.565
4 Mo 0.500 0.500 0.578
5 O 0.000 0.000 0.166
6 O 0.254 0.254 0.727
7 O 0.254 0.746 0.727
8 O 0.500 0.500 0.185
9 O 0.746 0.254 0.727
10 O 0.746 0.746 0.727